Structure and calculated X-ray powder pattern of AlCrF5 (DFT lattice parameters and positions (PBE+U); CuKα).

Atomic structure:
Cell: 3.6540 6.3321 7.5872 Å, 90.00 90.00 90.00°
Fractional coordinates of all 14 atoms:
Al1 0.0000 0.0000 0.0000
Al2 0.5000 0.5000 0.5000
Cr1 0.0000 0.0000 0.5000
Cr2 0.5000 0.5000 0.0000
F1 0.0000 0.0000 0.2379
F2 0.0000 0.0000 0.7621
F3 0.0000 0.2897 0.0000
F4 0.0000 0.5000 0.5000
F5 0.0000 0.7103 0.0000
F6 0.5000 0.0000 0.0000
F7 0.5000 0.2103 0.5000
F8 0.5000 0.5000 0.2621
F9 0.5000 0.5000 0.7379
F10 0.5000 0.7897 0.5000

Peak list (10 most intense, 2θ from 5° to 70°, in order of rising 2θ)
2θ = 23.45°, rel. 60, (0 0 2)
2θ = 28.19°, rel. 100, (0 2 0)
2θ = 39.49°, rel. 33, (1 2 1)
2θ = 47.96°, rel. 22, (0 0 4)
2θ = 49.91°, rel. 40, (2 0 0)
2θ = 52.66°, rel. 16, (1 2 3)
2θ = 55.85°, rel. 14, (2 0 2)
2θ = 56.56°, rel. 23, (0 2 4)
2θ = 58.30°, rel. 18, (0 4 0)
2θ = 63.71°, rel. 6, (0 4 2)